Structure and theoretical XRD peak list of CeEr8Sb2 (the PBE geometry in Alexandria; λ = 1.5418 Å (Cu Kα)).
Peak positions follow from Bragg's law for the DFT cell and can differ from measured ones.

The 6 most intense peaks (2θ from 10° to 80°), in order of rising 2θ:
Position (°2θ), intensity
31.2, 100.0
32.4, 82.8
34.0, 30.2
37.6, 24.4
38.9, 32.3
52.6, 20.7

a = 9.464 Å, b = 9.464 Å, c = 8.136 Å
α = 110.74°, β = 110.74°, γ = 28.34°
Atoms (fractional coordinates):
Ce (0.000, 0.000, 0.000)
Er (0.090, 0.090, 0.475)
Er (0.181, 0.181, 0.933)
Er (0.339, 0.339, 0.757)
Er (0.457, 0.457, 0.237)
Er (0.543, 0.543, 0.763)
Er (0.661, 0.661, 0.243)
Er (0.819, 0.819, 0.067)
Er (0.910, 0.910, 0.525)
Sb (0.293, 0.293, 0.332)
Sb (0.707, 0.707, 0.668)